RbVH6SeO9: computed powder X-ray diffraction pattern (Cu Kα (λ = 1.5418 Å)), based on DFT lattice parameters and positions (PBE+U).
Intensities are scaled so that the largest is 100.

Crystal structure
Cell: 6.4776 10.1883 6.9107 Å, 90.00 108.05 90.00°
Fractional positions:
Rb 0.1781 0.0000 0.1723
Rb 0.8219 0.5000 0.8277
V 0.1237 0.3476 0.3949
V 0.8763 0.8476 0.6051
H 0.0228 0.1123 0.6466
H 0.1918 0.6108 0.2774
H 0.2757 0.5534 0.6929
H 0.3166 0.4236 0.8178
H 0.3894 0.6772 0.0855
H 0.4719 0.1993 0.6895
H 0.5281 0.6993 0.3105
H 0.6106 0.1772 0.9145
H 0.6834 0.9236 0.1822
H 0.7243 0.0534 0.3071
H 0.8082 0.1108 0.7226
H 0.9772 0.6123 0.3534
Se 0.4198 0.8470 0.7329
Se 0.5802 0.3470 0.2671
O 0.0470 0.2939 0.1579
O 0.0687 0.5563 0.2947
O 0.1681 0.8794 0.5691
O 0.1843 0.2107 0.5384
O 0.2173 0.4634 0.6928
O 0.3767 0.7027 0.2180
O 0.4315 0.3967 0.4185
O 0.4478 0.6883 0.7873
O 0.4738 0.9391 0.9385
O 0.5262 0.4391 0.0615
O 0.5522 0.1883 0.2127
O 0.5685 0.8967 0.5815
O 0.6233 0.2027 0.7820
O 0.7827 0.9634 0.3072
O 0.8157 0.7107 0.4616
O 0.8319 0.3794 0.4309
O 0.9313 0.0563 0.7053
O 0.9530 0.7939 0.8421

Main lines, low angle first (2θ = 10–90°):
2θ/deg  Rel. int.
16.1  100
17.4  86
24.3  57
27.9  61
28.5  38
29.3  64
29.6  99
30.3  34
37.7  31
39.1  42